[1]
Diffraction record for Ta2AlCo. The powder XRD pattern is calculated, not measured: it uses a DFT-relaxed cell (PBE, Alexandria) and Cu Kα (weighted mean of Kα1 and Kα2).
Peak positions follow from Bragg's law for the DFT cell and can differ from measured ones.

Atomic structure:
Unit cell a=2.971 b=4.617 c=9.060 alpha=90.00 beta=90.00 gamma=90.00
Space group Imm2 (No. 44)
Inequivalent atoms, fractional coordinates:
Ta 0.000 0.000 0.000 [2 per cell]
Ta 0.000 0.500 0.233 [2 per cell]
Al 0.000 0.500 0.784 [2 per cell]
Co 0.000 0.000 0.502 [2 per cell]

Main lines, in order of rising 2θ (5 to 70 degrees two-theta):
21.6°, d 4.113, I 419, hkl 0 1 1; 31.7°, d 2.823, I 222, hkl 1 0 1; 35.5°, d 2.527, I 220, hkl 0 1 3; 39.0°, d 2.308, I 300, hkl 0 2 0; 39.8°, d 2.265, I 257, hkl 0 0 4; 41.3°, d 2.188, I 1000, hkl 1 1 2; 51.1°, d 1.787, I 121, hkl 1 2 1; 57.0°, d 1.617, I 180, hkl 0 2 4; 59.8°, d 1.547, I 64, hkl 1 0 5; 62.5°, d 1.486, I 75, hkl 2 0 0

[2]
Diffraction record for Tb3Al3Co2. The powder XRD pattern is calculated, not measured: it uses a DFT-relaxed cell (PBE, Alexandria) and Cu Kα (weighted mean of Kα1 and Kα2).
Peak positions follow from Bragg's law for the DFT cell and can differ from measured ones.

Atomic structure:
Unit cell a=7.431 b=14.964 c=5.778 alpha=90.00 beta=90.00 gamma=90.00
Space group Pnma (No. 62)
Inequivalent atoms, fractional coordinates:
Tb 0.032 0.108 0.106 [8 per cell]
Tb 0.166 0.250 0.635 [4 per cell]
Al 0.159 0.036 0.598 [8 per cell]
Al 0.178 0.750 0.616 [4 per cell]
Co 0.139 0.606 0.376 [8 per cell]

Main lines, in order of rising 2θ (5 to 70 degrees two-theta):
26.5°, d 3.366, I 411, hkl 1 3 1; 29.2°, d 3.059, I 400, hkl 2 1 1; 30.9°, d 2.891, I 902, hkl 1 4 1; 33.8°, d 2.651, I 1000, hkl 1 1 2; 34.0°, d 2.636, I 564, hkl 2 4 0; 36.0°, d 2.494, I 388, hkl 0 6 0; 37.5°, d 2.398, I 541, hkl 2 4 1; 38.0°, d 2.369, I 576, hkl 1 3 2; 39.6°, d 2.277, I 615, hkl 3 0 1; 54.8°, d 1.674, I 404, hkl 1 7 2